Theoretical powder diffractogram
Compound: Al2O
Radiation: a wavelength of 1.5418 Å
Structure: a PBE-relaxed structure
Peak positions follow from Bragg's law for the DFT cell and can differ from measured ones.

The 6 most intense peaks (5 to 70 degrees two-theta), sorted by position:
hkl 0 0 1, 2θ = 11.17°, 7.920 Å, I 56
hkl 0 0 2, 2θ = 22.45°, 3.960 Å, I 86
hkl 0 1 1, 2θ = 22.91°, 3.882 Å, I 89
hkl 0 1 2, 2θ = 30.20°, 2.959 Å, I 54
hkl 1 1 0, 2θ = 36.80°, 2.442 Å, I 100
hkl 0 1 3, 2θ = 39.69°, 2.271 Å, I 52

Atomic structure:
a b c (Å): 2.921 4.453 7.920
angles (deg): 90.00 90.13 90.00
Space group P2_1 (No. 4)
Asymmetric unit:
Al 0.249 0.000 0.387 x2
Al 0.251 0.142 0.069 x2
O 0.250 0.294 0.547 x2

=====

Theoretical powder diffractogram
Compound: Al2O
Radiation: a wavelength of 1.5418 Å
Structure: a PBE-relaxed structure
Peak positions follow from Bragg's law for the DFT cell and can differ from measured ones.

The 6 most intense peaks (5 to 70 degrees two-theta), sorted by position:
hkl 0 1 0, 2θ = 11.86°, 7.465 Å, I 35
hkl 0 1 1, 2θ = 23.00°, 3.866 Å, I 69
hkl 0 2 0, 2θ = 23.84°, 3.733 Å, I 51
hkl 0 2 1, 2θ = 31.07°, 2.878 Å, I 54
hkl 1 1 1, 2θ = 39.20°, 2.298 Å, I 100
hkl 1 2 0, 2θ = 39.72°, 2.269 Å, I 34

Atomic structure:
a b c (Å): 2.858 7.465 4.520
angles (deg): 90.00 90.00 90.00
Space group Pmn2_1 (No. 31)
Asymmetric unit:
Al 0.000 0.071 0.000 x2
Al 0.000 0.621 0.329 x2
O 0.000 0.450 0.615 x2

=====

Theoretical powder diffractogram
Compound: Al11O18
Radiation: a wavelength of 1.5418 Å
Structure: a PBE-relaxed structure
Peak positions follow from Bragg's law for the DFT cell and can differ from measured ones.

The 6 most intense peaks (5 to 70 degrees two-theta), sorted by position:
hkl 0 2 0, 2θ = 7.71°, 11.469 Å, I 100
hkl 0 4 0, 2θ = 15.45°, 5.734 Å, I 25
hkl 0 7 1, 2θ = 32.87°, 2.724 Å, I 17
hkl 2 4 -1, 2θ = 35.36°, 2.538 Å, I 10
hkl 0 13 2, 2θ = 65.14°, 1.432 Å, I 10
hkl 4 0 -2, 2θ = 66.00°, 1.416 Å, I 17

Atomic structure:
a b c (Å): 5.660 22.937 5.663
angles (deg): 90.00 119.97 90.00
Space group P2_1/m (No. 11)
Asymmetric unit:
Al 0.000 0.000 0.000 x2
Al 0.165 0.106 0.830 x4
Al 0.167 0.107 0.334 x4
Al 0.331 0.673 0.663 x4
Al 0.334 0.524 0.668 x4
Al 0.335 0.606 0.170 x4
O 0.001 0.640 0.002 x4
O 0.002 0.144 0.501 x4
O 0.158 0.549 0.315 x4
O 0.159 0.549 0.844 x4
O 0.315 0.049 0.156 x4
O 0.333 0.056 0.667 x4
O 0.339 0.750 0.679 x2
O 0.460 0.250 0.907 x2
O 0.499 0.144 0.501 x4
O 0.499 0.144 0.998 x4

=====

What did the third record say?
Theoretical powder diffractogram
Compound: Al11O18
Radiation: a wavelength of 1.5418 Å
Structure: a PBE-relaxed structure
Peak positions follow from Bragg's law for the DFT cell and can differ from measured ones.

The 6 most intense peaks (5 to 70 degrees two-theta), sorted by position:
hkl 0 2 0, 2θ = 7.71°, 11.469 Å, I 100
hkl 0 4 0, 2θ = 15.45°, 5.734 Å, I 25
hkl 0 7 1, 2θ = 32.87°, 2.724 Å, I 17
hkl 2 4 -1, 2θ = 35.36°, 2.538 Å, I 10
hkl 0 13 2, 2θ = 65.14°, 1.432 Å, I 10
hkl 4 0 -2, 2θ = 66.00°, 1.416 Å, I 17

Atomic structure:
a b c (Å): 5.660 22.937 5.663
angles (deg): 90.00 119.97 90.00
Space group P2_1/m (No. 11)
Asymmetric unit:
Al 0.000 0.000 0.000 x2
Al 0.165 0.106 0.830 x4
Al 0.167 0.107 0.334 x4
Al 0.331 0.673 0.663 x4
Al 0.334 0.524 0.668 x4
Al 0.335 0.606 0.170 x4
O 0.001 0.640 0.002 x4
O 0.002 0.144 0.501 x4
O 0.158 0.549 0.315 x4
O 0.159 0.549 0.844 x4
O 0.315 0.049 0.156 x4
O 0.333 0.056 0.667 x4
O 0.339 0.750 0.679 x2
O 0.460 0.250 0.907 x2
O 0.499 0.144 0.501 x4
O 0.499 0.144 0.998 x4